Li5CoO4: simulated powder diffractogram (Cu Kα X-rays), based on a DFT-relaxed cell (GGA+U, the Materials Project).
Neutral-atom scattering factors, no anomalous dispersion.

Top 6 peaks for 2θ from 15° to 90°, by intensity:
- 21.40 deg, I = 100.0, (1 1 1)
- 17.30 deg, I = 94.5, (0 1 1)
- 25.59 deg, I = 86.4, (1 2 0)
- 33.82 deg, I = 47.3, (2 2 0)
- 38.53 deg, I = 45.4, (1 3 1)
- 30.69 deg, I = 35.9, (2 1 1)

Crystal structure
```
data_Li5CoO4
_chemical_formula_sum 'Li20 Co4 O16'
_cell_length_a 7.081
_cell_length_b 7.993
_cell_length_c 6.683
_cell_angle_alpha 90.00
_cell_angle_beta 90.00
_cell_angle_gamma 90.00
_symmetry_space_group_name_H-M 'P 1'
_symmetry_Int_Tables_number 1
_symmetry_space_group_name_Hall 'P 1'
loop_
_atom_site_label
_atom_site_type_symbol
_atom_site_fract_x
_atom_site_fract_y
_atom_site_fract_z
_atom_site_occupancy
Li1 Li 0.000 0.000 0.243 1
Li2 Li 0.000 0.000 0.757 1
Li3 Li 0.022 0.344 0.245 1
Li4 Li 0.022 0.344 0.755 1
Li5 Li 0.242 0.704 0.000 1
Li6 Li 0.244 0.902 0.500 1
Li7 Li 0.256 0.402 0.000 1
Li8 Li 0.258 0.204 0.500 1
Li9 Li 0.478 0.844 0.255 1
Li10 Li 0.478 0.844 0.745 1
Li11 Li 0.500 0.500 0.257 1
Li12 Li 0.500 0.500 0.743 1
Li13 Li 0.522 0.156 0.255 1
Li14 Li 0.522 0.156 0.745 1
Li15 Li 0.742 0.796 0.500 1
Li16 Li 0.744 0.598 0.000 1
Li17 Li 0.756 0.098 0.500 1
Li18 Li 0.758 0.296 0.000 1
Li19 Li 0.978 0.656 0.245 1
Li20 Li 0.978 0.656 0.755 1
Co1 Co 0.232 0.603 0.500 1
Co2 Co 0.268 0.103 0.000 1
Co3 Co 0.732 0.897 0.000 1
Co4 Co 0.768 0.397 0.500 1
O1 O 0.023 0.763 0.500 1
O2 O 0.031 0.216 0.000 1
O3 O 0.218 0.524 0.240 1
O4 O 0.218 0.524 0.760 1
O5 O 0.282 0.024 0.260 1
O6 O 0.282 0.024 0.740 1
O7 O 0.469 0.716 0.500 1
O8 O 0.477 0.263 0.000 1
O9 O 0.523 0.737 0.000 1
O10 O 0.531 0.284 0.500 1
O11 O 0.718 0.976 0.260 1
O12 O 0.718 0.976 0.740 1
O13 O 0.782 0.476 0.240 1
O14 O 0.782 0.476 0.760 1
O15 O 0.969 0.784 0.000 1
O16 O 0.977 0.237 0.500 1
```